Mn4NO8: simulated powder diffraction line list (Cu Kα X-rays), based on the PBE+U geometry in Alexandria.

Largest 12 diffraction maxima, sorted by position, 10° ≤ 2θ ≤ 80°:
2θ/deg, I/Imax
12.57, 100
17.81, 92
28.33, 91
36.07, 27
36.59, 90
38.34, 13
40.98, 29
48.77, 50
55.34, 26
58.98, 54
63.19, 13
68.19, 37

Atomic structure:
```
data_Mn4NO8
_chemical_formula_sum 'Mn4 N1 O8'
_space_group_name_H-M_alt 'P 1'
_space_group_IT_number 1
_cell_length_a 7.1956
_cell_length_b 7.1956
_cell_length_c 7.1956
_cell_angle_alpha 92.40
_cell_angle_beta 92.40
_cell_angle_gamma 156.40
loop_
_space_group_symop_operation_xyz
'x,y,z'
loop_
_atom_site_label
_atom_site_fract_x
_atom_site_fract_y
_atom_site_fract_z
_atom_site_occupancy
Mn1 0.1513 0.6659 0.8172 1
Mn2 0.3341 0.1513 0.4854 1
Mn3 0.6659 0.8487 0.5146 1
Mn4 0.8487 0.3341 0.1828 1
N1 0.0000 0.0000 0.0000 1
O1 0.0426 0.3354 0.3781 1
O2 0.2949 0.3436 0.6385 1
O3 0.3354 0.9574 0.2928 1
O4 0.3436 0.7051 0.0487 1
O5 0.6564 0.2949 0.9513 1
O6 0.6646 0.0426 0.7072 1
O7 0.7051 0.6564 0.3615 1
O8 0.9574 0.6646 0.6219 1
```